# Ti5Nb2O14
Calculated powder XRD pattern, copper Kα. Input: a PBE-relaxed structure.
Lines closer than 0.1° are merged.

Crystal structure
```
data_Ti5Nb2O14
_chemical_formula_sum 'Ti20 Nb8 O56'
_space_group_name_H-M_alt 'C m m m'
_space_group_IT_number 65
_space_group_name_Hall '-C 2 2'
_cell_length_a 6.6584
_cell_length_b 6.7244
_cell_length_c 21.0663
_cell_angle_alpha 90.00
_cell_angle_beta 90.00
_cell_angle_gamma 90.00
loop_
_atom_site_label
_atom_site_fract_x
_atom_site_fract_y
_atom_site_fract_z
Ti1 0.0000 0.0000 0.0000
Ti2 0.0000 0.0000 0.1455
Ti3 0.0000 0.0000 0.2846
Ti4 0.0000 0.0000 0.4303
Ti5 0.0000 0.5000 0.2155
Ti6 0.0000 0.5000 0.5000
Nb1 0.0000 0.5000 0.0739
Nb2 0.0000 0.5000 0.3574
O1 0.0000 0.2993 0.0000
O2 0.0000 0.3006 0.1440
O3 0.0000 0.3014 0.2848
O4 0.0000 0.3019 0.4296
O5 0.1931 0.0000 0.3572
O6 0.1937 0.0000 0.0713
O7 0.1953 0.0000 0.2142
O8 0.1949 0.0000 0.5000
```

Top 6 peaks for 2θ = 5–70°, sorted by position:
2θ/deg  I/Imax  (hkl)
26.51  92.0  0 2 0
26.78  91.5  2 0 0
35.35  100.0  1 1 7
52.74  54.6  1 3 7
53.05  55.4  3 1 7
66.99  38.0  3 3 7